(1)
Diffraction record for Mg5Re3. The XRD peak list is theoretical, not measured: it uses a cell relaxed with PBE and Cu Kα.
Peak positions follow from Bragg's law for the DFT cell and can differ from measured ones.

Crystal structure
```
data_Mg5Re3
_chemical_formula_sum 'Mg10 Re6'
_space_group_name_H-M_alt 'P 1'
_space_group_IT_number 1
_cell_length_a 4.483
_cell_length_b 5.738
_cell_length_c 11.105
_cell_angle_alpha 100.67
_cell_angle_beta 90.03
_cell_angle_gamma 90.13
loop_
_space_group_symop_operation_xyz
'x,y,z'
loop_
_atom_site_label
_atom_site_type_symbol
_atom_site_fract_x
_atom_site_fract_y
_atom_site_fract_z
_atom_site_occupancy
Mg1 Mg 0.000 0.000 0.000 1
Mg2 Mg 0.000 0.008 0.480 1
Mg3 Mg 0.000 0.483 0.001 1
Mg4 Mg 0.000 0.501 0.492 1
Mg5 Mg 0.000 0.745 0.748 1
Mg6 Mg 0.499 0.338 0.119 1
Mg7 Mg 0.500 0.356 0.620 1
Mg8 Mg 0.500 0.621 0.871 1
Mg9 Mg 0.500 0.876 0.608 1
Mg10 Mg 0.501 0.853 0.138 1
Re1 Re 0.000 0.231 0.762 1
Re2 Re 0.001 0.687 0.258 1
Re3 Re 0.500 0.128 0.849 1
Re4 Re 0.500 0.169 0.353 1
Re5 Re 0.500 0.619 0.359 1
Re6 Re 0.999 0.243 0.258 1
```

Principal peaks in the range 2θ = 10–90°, in order of falling intensity:
16.25 deg, I 100; 38.61 deg, I 81; 38.74 deg, I 46; 40.24 deg, I 27; 25.72 deg, I 27; 31.72 deg, I 25

(2)
Diffraction record for Mg3Re. The XRD peak list is theoretical, not measured: it uses a cell relaxed with PBE and Cu Kα.
Peak positions follow from Bragg's law for the DFT cell and can differ from measured ones.

Crystal structure
```
data_Mg3Re
_chemical_formula_sum 'Mg3 Re1'
_space_group_name_H-M_alt 'P 1'
_space_group_IT_number 1
_cell_length_a 2.784
_cell_length_b 4.717
_cell_length_c 5.517
_cell_angle_alpha 90.00
_cell_angle_beta 99.37
_cell_angle_gamma 90.00
loop_
_space_group_symop_operation_xyz
'x,y,z'
loop_
_atom_site_label
_atom_site_type_symbol
_atom_site_fract_x
_atom_site_fract_y
_atom_site_fract_z
_atom_site_occupancy
Mg1 Mg 0.000 0.000 0.000 1
Mg2 Mg 0.247 0.500 0.730 1
Mg3 Mg 0.753 0.500 0.270 1
Re1 Re 0.500 0.000 0.500 1
```

Principal peaks in the range 2θ = 10–90°, in order of falling intensity:
16.28 deg, I 100; 38.17 deg, I 94; 18.81 deg, I 66; 24.98 deg, I 63; 39.22 deg, I 58; 39.07 deg, I 29

(3)
Diffraction record for Mg4Re3. The XRD peak list is theoretical, not measured: it uses a cell relaxed with PBE and Cu Kα.
Peak positions follow from Bragg's law for the DFT cell and can differ from measured ones.

Crystal structure
```
data_Mg4Re3
_chemical_formula_sum 'Mg4 Re3'
_space_group_name_H-M_alt 'P 1'
_space_group_IT_number 1
_cell_length_a 5.250
_cell_length_b 5.250
_cell_length_c 5.214
_cell_angle_alpha 90.00
_cell_angle_beta 90.00
_cell_angle_gamma 120.00
loop_
_space_group_symop_operation_xyz
'x,y,z'
loop_
_atom_site_label
_atom_site_type_symbol
_atom_site_fract_x
_atom_site_fract_y
_atom_site_fract_z
_atom_site_occupancy
Mg1 Mg 0.000 0.000 0.241 1
Mg2 Mg 0.000 0.000 0.759 1
Mg3 Mg 0.333 0.667 0.500 1
Mg4 Mg 0.667 0.333 0.500 1
Re1 Re 0.000 0.500 0.000 1
Re2 Re 0.500 0.000 0.000 1
Re3 Re 0.500 0.500 0.000 1
```

Principal peaks in the range 2θ = 10–90°, in order of falling intensity:
17.01 deg, I 100; 43.42 deg, I 76; 39.64 deg, I 49; 53.48 deg, I 28; 34.40 deg, I 22; 19.52 deg, I 22

(4)
Diffraction record for Mg5Re24. The XRD peak list is theoretical, not measured: it uses a cell relaxed with PBE and Cu Kα.
Peak positions follow from Bragg's law for the DFT cell and can differ from measured ones.

Crystal structure
```
data_Mg5Re24
_chemical_formula_sum 'Mg5 Re24'
_space_group_name_H-M_alt 'P 1'
_space_group_IT_number 1
_cell_length_a 8.394
_cell_length_b 8.394
_cell_length_c 8.394
_cell_angle_alpha 109.47
_cell_angle_beta 109.47
_cell_angle_gamma 109.47
loop_
_space_group_symop_operation_xyz
'x,y,z'
loop_
_atom_site_label
_atom_site_type_symbol
_atom_site_fract_x
_atom_site_fract_y
_atom_site_fract_z
_atom_site_occupancy
Mg1 Mg 0.000 0.000 0.000 1
Mg2 Mg 0.000 0.000 0.355 1
Mg3 Mg 0.000 0.355 0.000 1
Mg4 Mg 0.355 0.000 0.000 1
Mg5 Mg 0.645 0.645 0.645 1
Re1 Re 0.000 0.321 0.603 1
Re2 Re 0.000 0.603 0.321 1
Re3 Re 0.000 0.622 0.807 1
Re4 Re 0.000 0.807 0.622 1
Re5 Re 0.185 0.378 0.378 1
Re6 Re 0.193 0.193 0.815 1
Re7 Re 0.193 0.815 0.193 1
Re8 Re 0.283 0.679 0.679 1
Re9 Re 0.321 0.000 0.603 1
Re10 Re 0.321 0.603 0.000 1
Re11 Re 0.378 0.185 0.378 1
Re12 Re 0.378 0.378 0.185 1
Re13 Re 0.397 0.397 0.717 1
Re14 Re 0.397 0.717 0.397 1
Re15 Re 0.603 0.000 0.321 1
Re16 Re 0.603 0.321 0.000 1
Re17 Re 0.622 0.000 0.807 1
Re18 Re 0.622 0.807 0.000 1
Re19 Re 0.679 0.283 0.679 1
Re20 Re 0.679 0.679 0.283 1
Re21 Re 0.717 0.397 0.397 1
Re22 Re 0.807 0.000 0.622 1
Re23 Re 0.807 0.622 0.000 1
Re24 Re 0.815 0.193 0.193 1
```

Principal peaks in the range 2θ = 10–90°, in order of falling intensity:
39.44 deg, I 100; 47.85 deg, I 47; 43.81 deg, I 43; 71.53 deg, I 29; 22.47 deg, I 21; 73.05 deg, I 14